Entry 1:
Structure and computed powder diffractogram of NdY2Ni9 (a crystal structure in OQMD, relaxed with PBE; copper Kα).
Intensities are scaled so that the largest is 100.

Cell and atoms:
Lattice parameters (Å, degrees): 4.9994 4.9994 24.3527 90.00 90.00 120.00
Space group R-3m (No. 166, hexagonal axes)
Unique sites:
Nd (0.0000, 0.0000, 0.0000)
Y (0.0000, 0.0000, 0.1396)
Ni (0.0000, 0.0000, 0.3329)
Ni (0.0000, 0.0000, 0.5000)
Ni (0.0006, 0.5003, 0.9174)

Peak list (12 most intense, 10° ≤ 2θ ≤ 90°, in order of rising 2θ)
33.0°, I = 30, (1 0 7); 35.9°, I = 33, (1 1 0); 36.1°, I = 26, (0 1 8); 41.9°, I = 31, (0 2 1); 42.5°, I = 100, (1 1 6); 44.7°, I = 16, (0 0 12); 45.9°, I = 15, (2 0 5); 49.6°, I = 9, (1 1 9); 64.6°, I = 15, (3 0 0); 69.1°, I = 19, (3 0 6); 69.3°, I = 8, (2 0 14); 76.2°, I = 18, (2 2 0)

---

Entry 2:
Structure and computed powder diffractogram of NdNpTl (a crystal structure in OQMD, relaxed with PBE; copper Kα).
Intensities are scaled so that the largest is 100.

Cell and atoms:
Lattice parameters (Å, degrees): 7.467 7.467 7.467 90.00 90.00 90.00
Space group F-43m (No. 216)
Unique sites:
Nd (0.000, 0.000, 0.000)
Np (0.000, 0.000, 0.500)
Tl (0.250, 0.250, 0.250)

Peak list (12 most intense, 10° ≤ 2θ ≤ 90°, in order of rising 2θ)
20.6°, I = 33, (1 1 1); 23.8°, I = 12, (2 0 0); 34.0°, I = 100, (2 2 0); 40.0°, I = 18, (3 1 1); 48.8°, I = 18, (4 0 0); 53.5°, I = 8, (3 3 1); 55.0°, I = 5, (4 2 0); 60.8°, I = 38, (4 2 2); 64.9°, I = 6, (5 1 1); 71.5°, I = 12, (4 4 0); 75.3°, I = 6, (5 3 1); 81.5°, I = 17, (6 2 0)

---

Entry 3:
Structure and computed powder diffractogram of Nd2O3 (a crystal structure in OQMD, relaxed with PBE; copper Kα).
Intensities are scaled so that the largest is 100.

Cell and atoms:
Lattice parameters (Å, degrees): 11.080 11.080 11.080 90.00 90.00 90.00
Space group Ia-3 (No. 206)
Unique sites:
Nd (0.000, 0.000, 0.000)
Nd (0.000, 0.250, 0.280)
O (0.100, 0.141, 0.628)

Peak list (12 most intense, 10° ≤ 2θ ≤ 90°, in order of rising 2θ)
19.6°, I = 9, (2 1 1); 27.9°, I = 100, (2 2 2); 32.3°, I = 34, (4 0 0); 34.3°, I = 5, (4 1 1); 41.6°, I = 7, (4 3 1); 46.4°, I = 41, (4 4 0); 55.0°, I = 34, (6 2 2); 56.3°, I = 6, (6 3 1); 57.6°, I = 7, (4 4 4); 74.7°, I = 10, (6 6 2); 77.0°, I = 7, (8 4 0); 86.0°, I = 7, (8 4 4)

---

Entry 4:
Structure and computed powder diffractogram of Nd5O (a crystal structure in OQMD, relaxed with PBE; copper Kα).
Intensities are scaled so that the largest is 100.

Cell and atoms:
Lattice parameters (Å, degrees): 6.1621 6.1621 6.1843 90.00 90.00 120.00
Space group P6/mmm (No. 191)
Unique sites:
Nd (0.0000, 0.5000, 0.0000)
Nd (0.3333, 0.6667, 0.5000)
O (0.0000, 0.0000, 0.5000)

Peak list (12 most intense, 10° ≤ 2θ ≤ 90°, in order of rising 2θ)
16.6°, I = 83, (1 0 0); 28.9°, I = 55, (0 0 2); 32.5°, I = 90, (1 1 1); 33.5°, I = 49, (2 0 0); 36.7°, I = 100, (2 0 1); 44.9°, I = 30, (2 0 2); 53.5°, I = 22, (1 1 3); 53.6°, I = 21, (3 0 1); 54.3°, I = 16, (2 1 2); 56.4°, I = 29, (2 0 3); 60.1°, I = 22, (2 2 0); 68.0°, I = 28, (2 2 2)

---

Entry 5:
Structure and computed powder diffractogram of NdZn3Os4O12 (a crystal structure in OQMD, relaxed with PBE; copper Kα).
Intensities are scaled so that the largest is 100.

Cell and atoms:
Lattice parameters (Å, degrees): 7.578 7.578 7.578 90.00 90.00 90.00
Space group Im-3 (No. 204)
Unique sites:
Nd (0.000, 0.000, 0.000)
Zn (0.000, 0.000, 0.500)
Os (0.250, 0.250, 0.250)
O (0.000, 0.303, 0.178)

Peak list (12 most intense, 10° ≤ 2θ ≤ 90°, in order of rising 2θ)
16.5°, I = 3, (1 1 0); 23.5°, I = 19, (2 0 0); 33.4°, I = 100, (2 2 0); 41.3°, I = 3, (2 2 2); 48.0°, I = 23, (4 0 0); 54.1°, I = 9, (4 2 0); 59.8°, I = 45, (4 2 2); 70.3°, I = 13, (4 4 0); 75.2°, I = 3, (4 4 2); 80.1°, I = 17, (6 2 0); 84.9°, I = 3, (6 2 2); 89.6°, I = 5, (4 4 4)

---

Entry 6:
Structure and computed powder diffractogram of Nd4SbPO (a crystal structure in OQMD, relaxed with PBE; copper Kα).
Intensities are scaled so that the largest is 100.

Cell and atoms:
Lattice parameters (Å, degrees): 4.526 4.526 17.511 90.00 90.00 90.00
Space group I4mm (No. 107)
Unique sites:
Nd (0.000, 0.000, 0.000)
Nd (0.000, 0.000, 0.372)
Nd (0.000, 0.500, 0.200)
Sb (0.000, 0.000, 0.561)
P (0.000, 0.000, 0.834)
O (0.000, 0.000, 0.236)

Peak list (12 most intense, 10° ≤ 2θ ≤ 90°, in order of rising 2θ)
24.9°, I = 18, (1 0 3); 29.7°, I = 100, (1 1 2); 30.6°, I = 29, (0 0 6); 32.3°, I = 40, (1 0 5); 34.7°, I = 51, (1 1 4); 39.8°, I = 51, (2 0 0); 50.5°, I = 16, (1 1 8); 51.1°, I = 32, (2 0 6); 52.2°, I = 23, (2 1 5); 57.6°, I = 17, (2 2 0); 66.2°, I = 21, (3 1 2); 66.7°, I = 16, (2 2 6)

---

Entry 7:
Structure and computed powder diffractogram of NdTlPO (a crystal structure in OQMD, relaxed with PBE; copper Kα).
Intensities are scaled so that the largest is 100.

Cell and atoms:
Lattice parameters (Å, degrees): 5.509 5.416 6.251 90.00 90.00 90.00
Space group Pmc2_1 (No. 26)
Unique sites:
Nd (0.000, 0.213, 0.000)
Tl (0.500, 0.236, 0.393)
P (0.500, 0.269, 0.836)
O (0.000, 0.161, 0.353)

Peak list (12 most intense, 10° ≤ 2θ ≤ 90°, in order of rising 2θ)
27.1°, I = 100, (1 1 1); 28.6°, I = 24, (0 0 2); 32.5°, I = 30, (2 0 0); 32.9°, I = 20, (1 0 2); 33.1°, I = 25, (0 2 0); 43.8°, I = 15, (2 0 2); 44.3°, I = 13, (0 2 2); 47.1°, I = 19, (2 2 0); 47.4°, I = 15, (1 2 2); 54.8°, I = 15, (3 1 1); 55.5°, I = 12, (1 3 1); 56.0°, I = 13, (2 2 2)

---

Entry 8:
Structure and computed powder diffractogram of Nd2Pa2O5 (a crystal structure in OQMD, relaxed with PBE; copper Kα).
Intensities are scaled so that the largest is 100.

Cell and atoms:
Lattice parameters (Å, degrees): 4.272 4.272 9.004 90.00 90.00 90.00
Space group P4/mmm (No. 123)
Unique sites:
Nd (0.000, 0.000, 0.000)
Nd (0.000, 0.000, 0.500)
Pa (0.500, 0.500, 0.249)
O (0.000, 0.500, 0.321)
O (0.500, 0.500, 0.500)

Peak list (12 most intense, 10° ≤ 2θ ≤ 90°, in order of rising 2θ)
28.8°, I = 100, (1 0 2); 29.6°, I = 42, (1 1 0); 40.1°, I = 11, (0 0 4); 42.3°, I = 23, (2 0 0); 50.6°, I = 24, (1 1 4); 52.0°, I = 40, (2 1 2); 59.7°, I = 14, (2 0 4); 66.0°, I = 10, (1 0 6); 69.2°, I = 9, (3 0 2); 81.6°, I = 11, (2 1 6); 83.5°, I = 12, (3 1 4); 84.6°, I = 10, (3 2 2)

---

Entry 9:
Structure and computed powder diffractogram of NdPa2O4 (a crystal structure in OQMD, relaxed with PBE; copper Kα).
Intensities are scaled so that the largest is 100.

Cell and atoms:
Lattice parameters (Å, degrees): 9.982 9.982 9.982 90.00 90.00 90.00
Space group Fd-3m (No. 227, origin choice 2)
Unique sites:
Nd (0.125, 0.125, 0.125)
Pa (0.000, 0.000, 0.500)
O (0.005, 0.005, 0.745)

Peak list (12 most intense, 10° ≤ 2θ ≤ 90°, in order of rising 2θ)
15.4°, I = 23, (1 1 1); 25.2°, I = 15, (2 2 0); 29.7°, I = 100, (3 1 1); 31.0°, I = 41, (2 2 2); 36.0°, I = 20, (4 0 0); 47.3°, I = 39, (5 1 1); 51.8°, I = 43, (4 4 0); 60.9°, I = 14, (5 3 3); 61.6°, I = 20, (6 2 2); 72.8°, I = 24, (5 5 3); 84.0°, I = 13, (5 5 5); 84.6°, I = 9, (6 6 2)

---

Entry 10:
Structure and computed powder diffractogram of NdPa2O7 (a crystal structure in OQMD, relaxed with PBE; copper Kα).
Intensities are scaled so that the largest is 100.

Cell and atoms:
Lattice parameters (Å, degrees): 3.800 3.800 17.556 90.00 90.00 90.00
Space group I4/mmm (No. 139)
Unique sites:
Nd (0.000, 0.000, 0.000)
Pa (0.000, 0.000, 0.334)
O (0.000, 0.000, 0.500)
O (0.000, 0.500, 0.101)
O (0.000, 0.500, 0.250)

Peak list (12 most intense, 10° ≤ 2θ ≤ 90°, in order of rising 2θ)
28.0°, I = 100, (1 0 3); 30.6°, I = 16, (0 0 6); 33.3°, I = 25, (1 1 0); 45.9°, I = 38, (1 1 6); 47.9°, I = 17, (2 0 0); 52.8°, I = 18, (1 0 9); 56.4°, I = 30, (2 1 3); 57.9°, I = 12, (2 0 6); 73.7°, I = 7, (1 1 12); 74.0°, I = 14, (2 1 9); 83.4°, I = 6, (2 0 12); 87.8°, I = 12, (3 1 6)

---

Entry 11:
Structure and computed powder diffractogram of Nd2Pa2Se3O4 (a crystal structure in OQMD, relaxed with PBE; copper Kα).
Intensities are scaled so that the largest is 100.

Cell and atoms:
Lattice parameters (Å, degrees): 8.704 3.864 12.663 90.00 90.00 90.00
Space group Amm2 (No. 38)
Unique sites:
Nd (0.238, 0.000, 0.000)
Pa (0.000, 0.000, 0.294)
Pa (0.500, 0.000, 0.318)
Se (0.000, 0.000, 0.587)
Se (0.310, 0.000, 0.691)
O (0.000, 0.000, 0.883)
O (0.246, 0.000, 0.389)
O (0.500, 0.000, 0.929)

Peak list (12 most intense, 10° ≤ 2θ ≤ 90°, in order of rising 2θ)
14.0°, I = 19, (0 0 2); 24.8°, I = 80, (2 0 2); 31.4°, I = 100, (0 1 3); 31.8°, I = 97, (2 1 1); 35.1°, I = 43, (2 0 4); 37.7°, I = 27, (2 1 3); 41.5°, I = 24, (4 0 0); 47.0°, I = 24, (0 2 0); 47.8°, I = 29, (2 1 5); 52.9°, I = 35, (4 1 3); 53.9°, I = 20, (2 2 2); 60.0°, I = 19, (2 2 4)

---

Entry 12:
Structure and computed powder diffractogram of PrNd3O7 (a crystal structure in OQMD, relaxed with PBE; copper Kα).
Intensities are scaled so that the largest is 100.

Cell and atoms:
Lattice parameters (Å, degrees): 8.219 3.642 11.386 90.00 90.00 90.00
Space group Amm2 (No. 38)
Unique sites:
Pr (0.000, 0.000, 0.000)
Nd (0.260, 0.000, 0.714)
Nd (0.500, 0.000, 0.991)
O (0.000, 0.000, 0.630)
O (0.093, 0.000, 0.350)
O (0.254, 0.000, 0.087)
O (0.500, 0.000, 0.344)
O (0.500, 0.000, 0.617)

Peak list (12 most intense, 10° ≤ 2θ ≤ 90°, in order of rising 2θ)
25.7°, I = 38, (0 1 1); 26.8°, I = 100, (2 0 2); 31.4°, I = 19, (0 0 4); 33.8°, I = 53, (2 1 1); 34.1°, I = 61, (0 1 3); 40.8°, I = 24, (2 1 3); 44.1°, I = 17, (4 0 0); 50.1°, I = 14, (0 2 0); 51.7°, I = 15, (4 1 1); 52.4°, I = 37, (2 1 5); 56.9°, I = 22, (4 1 3); 57.7°, I = 24, (2 2 2)

---

Entry 13:
Structure and computed powder diffractogram of PrNdO4 (a crystal structure in OQMD, relaxed with PBE; copper Kα).
Intensities are scaled so that the largest is 100.

Cell and atoms:
Lattice parameters (Å, degrees): 6.782 3.988 6.480 90.00 97.70 90.00
Space group Cm (No. 8)
Unique sites:
Pr (0.000, 0.000, 0.000)
Nd (0.391, 0.000, 0.463)
O (0.045, 0.000, 0.377)
O (0.117, 0.500, 0.799)
O (0.276, 0.500, 0.660)
O (0.348, 0.000, 0.091)

Peak list (12 most intense, 10° ≤ 2θ ≤ 90°, in order of rising 2θ)
26.5°, I = 33, (2 0 0); 27.8°, I = 45, (0 0 2); 28.7°, I = 100, (1 1 -1); 30.4°, I = 36, (1 1 1); 31.7°, I = 21, (2 0 1); 36.0°, I = 16, (2 0 -2); 45.5°, I = 20, (0 2 0); 46.5°, I = 24, (3 1 0); 47.0°, I = 14, (3 1 -1); 48.6°, I = 28, (1 1 -3); 51.9°, I = 24, (1 1 3); 54.1°, I = 14, (0 2 2)